Structure and computed powder XRD pattern of NaCu3O2 (a PBE-relaxed structure; Cu Kα (weighted mean of Kα1 and Kα2)).

Structure:
abc: 7.458 14.344 7.487
angles: 90.00 90.00 90.00
Sites, in units of the cell vectors:
Na  0.181  0.073  0.115
Na  0.181  0.427  0.615
Na  0.319  0.573  0.115
Na  0.319  0.927  0.615
Na  0.681  0.073  0.385
Na  0.681  0.427  0.885
Na  0.819  0.573  0.385
Na  0.819  0.927  0.885
Cu  0.097  0.622  0.700
Cu  0.097  0.878  0.200
Cu  0.109  0.737  0.438
Cu  0.109  0.763  0.938
Cu  0.134  0.121  0.502
Cu  0.134  0.379  0.002
Cu  0.366  0.621  0.502
Cu  0.366  0.879  0.002
Cu  0.391  0.237  0.438
Cu  0.391  0.263  0.938
Cu  0.403  0.122  0.700
Cu  0.403  0.378  0.200
Cu  0.597  0.622  0.800
Cu  0.597  0.878  0.300
Cu  0.609  0.737  0.062
Cu  0.609  0.763  0.562
Cu  0.634  0.121  0.998
Cu  0.634  0.379  0.498
Cu  0.866  0.621  0.998
Cu  0.866  0.879  0.498
Cu  0.891  0.237  0.062
Cu  0.891  0.263  0.562
Cu  0.903  0.122  0.800
Cu  0.903  0.378  0.300
O  0.103  0.634  0.945
O  0.103  0.866  0.445
O  0.122  0.607  0.452
O  0.122  0.893  0.952
O  0.378  0.107  0.452
O  0.378  0.393  0.952
O  0.397  0.134  0.945
O  0.397  0.366  0.445
O  0.603  0.634  0.555
O  0.603  0.866  0.055
O  0.622  0.607  0.048
O  0.622  0.893  0.548
O  0.878  0.107  0.048
O  0.878  0.393  0.548
O  0.897  0.134  0.555
O  0.897  0.366  0.055

The 10 most intense peaks (2θ from 10° to 90°), in order of rising 2θ:
12.34 deg, I 48; 17.12 deg, I 59; 20.88 deg, I 100; 23.77 deg, I 50; 24.67 deg, I 64; 24.83 deg, I 61; 27.42 deg, I 56; 38.95 deg, I 86; 41.48 deg, I 45; 50.91 deg, I 42



Structure and computed powder XRD pattern of Na5Cu7O13 (a PBE-relaxed structure; Cu Kα (weighted mean of Kα1 and Kα2)).

Structure:
abc: 6.813 6.868 7.609
angles: 98.49 99.75 103.82
Sites, in units of the cell vectors:
Na  0.000  0.000  0.000
Na  0.149  0.156  0.687
Na  0.303  0.306  0.368
Na  0.578  0.572  0.838
Na  0.736  0.735  0.514
Cu  0.075  0.579  0.827
Cu  0.227  0.730  0.549
Cu  0.365  0.867  0.262
Cu  0.515  0.023  0.979
Cu  0.648  0.150  0.684
Cu  0.793  0.293  0.398
Cu  0.934  0.440  0.113
O  0.070  0.360  0.939
O  0.074  0.799  0.716
O  0.224  0.952  0.445
O  0.231  0.511  0.663
O  0.358  0.063  0.136
O  0.373  0.655  0.380
O  0.499  0.231  0.843
O  0.643  0.366  0.565
O  0.656  0.936  0.808
O  0.794  0.509  0.285
O  0.797  0.080  0.516
O  0.927  0.653  0.994
O  0.940  0.224  0.228

The 10 most intense peaks (2θ from 10° to 90°), in order of rising 2θ:
16.47 deg, I 100; 27.61 deg, I 54; 32.07 deg, I 32; 32.55 deg, I 66; 33.29 deg, I 18; 36.54 deg, I 13; 36.67 deg, I 19; 43.47 deg, I 27; 43.95 deg, I 43; 56.23 deg, I 19



Structure and computed powder XRD pattern of Na2CuO2 (a PBE-relaxed structure; Cu Kα (weighted mean of Kα1 and Kα2)).

Structure:
abc: 5.387 5.387 8.241
angles: 90.00 90.00 148.22
Sites, in units of the cell vectors:
Na  0.106  0.894  0.500
Na  0.353  0.647  0.320
Na  0.647  0.353  0.820
Na  0.894  0.106  0.000
Cu  0.378  0.622  0.655
Cu  0.622  0.378  0.155
O  0.017  0.983  0.243
O  0.225  0.775  0.055
O  0.775  0.225  0.555
O  0.983  0.017  0.743

The 10 most intense peaks (2θ from 10° to 90°), in order of rising 2θ:
20.25 deg, I 95; 21.57 deg, I 60; 33.41 deg, I 29; 34.63 deg, I 32; 37.04 deg, I 100; 38.53 deg, I 29; 40.21 deg, I 27; 41.74 deg, I 63; 46.04 deg, I 62; 55.09 deg, I 25



Structure and computed powder XRD pattern of NaCu2O3 (a PBE-relaxed structure; Cu Kα (weighted mean of Kα1 and Kα2)).

Structure:
abc: 5.232 5.232 5.383
angles: 101.03 101.03 116.62
Sites, in units of the cell vectors:
Na  0.168  0.832  0.000
Na  0.832  0.168  0.000
Cu  0.000  0.000  0.500
Cu  0.335  0.665  0.500
Cu  0.500  0.500  0.000
Cu  0.665  0.335  0.500
O  0.074  0.382  0.695
O  0.317  0.317  0.236
O  0.382  0.074  0.695
O  0.618  0.926  0.305
O  0.683  0.683  0.764
O  0.926  0.618  0.305

The 10 most intense peaks (2θ from 10° to 90°), in order of rising 2θ:
17.69 deg, I 35; 19.98 deg, I 20; 35.05 deg, I 30; 35.82 deg, I 29; 36.28 deg, I 51; 40.15 deg, I 56; 42.38 deg, I 100; 59.28 deg, I 30; 60.33 deg, I 42; 62.59 deg, I 14



Structure and computed powder XRD pattern of NaCu3O4 (a PBE-relaxed structure; Cu Kα (weighted mean of Kα1 and Kα2)).

Structure:
abc: 6.081 6.081 3.450
angles: 90.00 90.00 126.71
Sites, in units of the cell vectors:
Na  0.000  0.000  0.000
Cu  0.243  0.757  0.500
Cu  0.500  0.500  0.500
Cu  0.757  0.243  0.500
O  0.131  0.391  0.500
O  0.391  0.131  0.500
O  0.609  0.869  0.500
O  0.869  0.609  0.500

The 10 most intense peaks (2θ from 10° to 90°), in order of rising 2θ:
25.82 deg, I 100; 30.69 deg, I 19; 31.78 deg, I 30; 32.84 deg, I 23; 32.96 deg, I 22; 39.68 deg, I 23; 42.29 deg, I 23; 47.22 deg, I 48; 54.59 deg, I 41; 73.75 deg, I 21



Structure and computed powder XRD pattern of NaCuO2 (a PBE-relaxed structure; Cu Kα (weighted mean of Kα1 and Kα2)).

Structure:
abc: 5.520 5.563 7.155
angles: 80.89 88.08 75.41
Sites, in units of the cell vectors:
Na  0.000  0.000  0.000
Na  0.227  0.103  0.566
Na  0.500  0.000  0.000
Na  0.773  0.897  0.434
Cu  0.118  0.449  0.217
Cu  0.384  0.549  0.776
Cu  0.616  0.451  0.224
Cu  0.882  0.551  0.783
O  0.076  0.779  0.721
O  0.189  0.318  0.824
O  0.311  0.678  0.169
O  0.423  0.219  0.276
O  0.577  0.781  0.724
O  0.689  0.322  0.831
O  0.811  0.682  0.176
O  0.924  0.221  0.279

The 10 most intense peaks (2θ from 10° to 90°), in order of rising 2θ:
12.53 deg, I 30; 16.67 deg, I 100; 19.27 deg, I 36; 25.21 deg, I 82; 28.08 deg, I 97; 32.53 deg, I 49; 35.86 deg, I 23; 39.37 deg, I 39; 44.35 deg, I 48; 45.06 deg, I 35



Structure and computed powder XRD pattern of Na3Cu2O4 (a PBE-relaxed structure; Cu Kα (weighted mean of Kα1 and Kα2)).

Structure:
abc: 5.624 5.624 8.167
angles: 113.29 113.29 29.77
Sites, in units of the cell vectors:
Na  0.000  0.000  0.000
Na  0.378  0.378  0.616
Na  0.622  0.622  0.384
Cu  0.171  0.171  0.779
Cu  0.829  0.829  0.221
O  0.252  0.252  0.304
O  0.415  0.415  0.155
O  0.585  0.585  0.845
O  0.748  0.748  0.696

The 10 most intense peaks (2θ from 10° to 90°), in order of rising 2θ:
16.94 deg, I 50; 17.88 deg, I 36; 23.88 deg, I 76; 25.32 deg, I 63; 33.08 deg, I 77; 35.57 deg, I 73; 35.81 deg, I 55; 42.08 deg, I 100; 53.13 deg, I 30; 56.24 deg, I 55



Structure and computed powder XRD pattern of NaCu3O4 (a PBE-relaxed structure; Cu Kα (weighted mean of Kα1 and Kα2)).

Structure:
abc: 6.042 6.042 8.797
angles: 90.00 90.00 90.00
Sites, in units of the cell vectors:
Na  0.000  0.251  0.000
Na  0.000  0.749  0.500
Na  0.251  0.000  0.750
Na  0.749  0.000  0.250
Cu  0.000  0.252  0.500
Cu  0.000  0.748  0.000
Cu  0.251  0.500  0.250
Cu  0.252  0.000  0.250
Cu  0.254  0.500  0.750
Cu  0.500  0.251  0.500
Cu  0.500  0.254  0.000
Cu  0.500  0.746  0.500
Cu  0.500  0.749  0.000
Cu  0.746  0.500  0.250
Cu  0.748  0.000  0.750
Cu  0.749  0.500  0.750
O  0.025  0.271  0.273
O  0.025  0.729  0.227
O  0.271  0.025  0.477
O  0.271  0.474  0.532
O  0.271  0.526  0.968
O  0.271  0.975  0.023
O  0.474  0.271  0.218
O  0.474  0.729  0.282
O  0.526  0.271  0.782
O  0.526  0.729  0.718
O  0.729  0.025  0.523
O  0.729  0.474  0.468
O  0.729  0.526  0.032
O  0.729  0.975  0.977
O  0.975  0.271  0.727
O  0.975  0.729  0.773

The 10 most intense peaks (2θ from 10° to 90°), in order of rising 2θ:
17.81 deg, I 14; 23.14 deg, I 16; 36.07 deg, I 100; 41.04 deg, I 45; 42.31 deg, I 88; 60.41 deg, I 49; 61.38 deg, I 25; 71.53 deg, I 17; 73.30 deg, I 27; 76.51 deg, I 22



Structure and computed powder XRD pattern of NaCuO2 (a PBE-relaxed structure; Cu Kα (weighted mean of Kα1 and Kα2)).

Structure:
abc: 5.779 5.779 5.421
angles: 90.00 90.00 142.45
Sites, in units of the cell vectors:
Na  0.210  0.790  0.750
Na  0.790  0.210  0.250
Cu  0.497  0.503  0.750
Cu  0.503  0.497  0.250
O  0.386  0.614  0.006
O  0.386  0.614  0.494
O  0.614  0.386  0.506
O  0.614  0.386  0.994

The 10 most intense peaks (2θ from 10° to 90°), in order of rising 2θ:
16.20 deg, I 48; 25.29 deg, I 100; 33.05 deg, I 11; 34.43 deg, I 25; 42.07 deg, I 10; 47.20 deg, I 27; 48.47 deg, I 42; 48.97 deg, I 15; 59.72 deg, I 10; 70.38 deg, I 14